# 1
Structure and simulated powder XRD pattern of BaBiSbO6 (a crystal structure in Alexandria, relaxed with GGA-PBE; λ = 1.5418 Å (Cu Kα)).
Lines closer than 0.1° are merged.

Peak list (10 most intense, 10° ≤ 2θ ≤ 80°, by intensity)
(1 0 2), 23.96°, I 100; (1 1 4), 45.03°, I 51; (1 1 0), 32.26°, I 44; (0 0 2), 15.14°, I 28; (2 1 2), 52.77°, I 23; (2 0 2), 40.59°, I 22; (1 1 2), 35.82°, I 15; (0 0 4), 30.56°, I 14; (3 0 0), 57.53°, I 13; (1 0 6), 50.50°, I 12

Structural model:
```
data_BaBiSbO6
_space_group_name_H-M_alt 'P -3 1 c'
_space_group_IT_number 163
_space_group_name_Hall '-P 3 2c'
_cell_length_a 5.5495
_cell_length_b 5.5495
_cell_length_c 11.7020
_cell_angle_alpha 90.00
_cell_angle_beta 90.00
_cell_angle_gamma 120.00
loop_
_atom_site_label
_atom_site_type_symbol
_atom_site_fract_x
_atom_site_fract_y
_atom_site_fract_z
Ba1 Ba 0.0000 0.0000 0.0000
Bi1 Bi 0.3333 0.6667 0.2500
Sb1 Sb 0.3333 0.6667 0.7500
O1 O 0.0164 0.3913 0.6497
```

---

# 2
Structure and simulated powder XRD pattern of BaBi2SbO8 (a crystal structure in Alexandria, relaxed with GGA-PBE; λ = 1.5418 Å (Cu Kα)).
Lines closer than 0.1° are merged.

Peak list (10 most intense, 10° ≤ 2θ ≤ 80°, by intensity)
(0 2 1), 29.50°, I 100; (1 0 -1), 24.60°, I 55; (1 0 1), 25.26°, I 49; (1 2 -2), 46.46°, I 38; (1 2 2), 47.23°, I 35; (2 0 0), 35.55°, I 33; (0 2 3), 60.16°, I 20; (1 0 0), 17.56°, I 12; (2 4 0), 61.23°, I 12; (1 4 1), 55.10°, I 10

Structural model:
```
data_BaBi2SbO8
_space_group_name_H-M_alt 'P 1 2/m 1'
_space_group_IT_number 10
_cell_length_a 5.052
_cell_length_b 7.566
_cell_length_c 5.052
_cell_angle_alpha 90.00
_cell_angle_beta 91.51
_cell_angle_gamma 90.00
loop_
_space_group_symop_operation_xyz
'x,y,z'
'-x,-y,-z'
'-x,y,-z'
'x,-y,z'
loop_
_atom_site_label
_atom_site_type_symbol
_atom_site_fract_x
_atom_site_fract_y
_atom_site_fract_z
Ba1 Ba 0.000 0.000 0.000
Bi1 Bi 0.500 0.276 0.500
Sb1 Sb 0.000 0.500 0.000
O1 O 0.179 0.302 0.196
O2 O 0.300 0.500 0.716
O3 O 0.386 0.000 0.673
```

---

# 3
Structure and simulated powder XRD pattern of Ba3Sc2BiO8 (a crystal structure in Alexandria, relaxed with GGA-PBE; λ = 1.5418 Å (Cu Kα)).
Lines closer than 0.1° are merged.

Peak list (10 most intense, 10° ≤ 2θ ≤ 80°, by intensity)
(1 1 0), 28.88°, I 100; (0 1 2), 28.50°, I 86; (2 0 2), 41.02°, I 46; (1 2 2), 50.94°, I 36; (0 0 1), 11.46°, I 26; (3 0 0), 51.18°, I 20; (1 0 0), 16.55°, I 19; (1 0 4), 50.23°, I 19; (2 2 0), 59.83°, I 17; (2 1 4), 66.98°, I 16

Structural model:
```
data_Ba3Sc2BiO8
_space_group_name_H-M_alt 'P -3 m 1'
_space_group_IT_number 164
_space_group_name_Hall '-P 3 2"'
_cell_length_a 6.1833
_cell_length_b 6.1833
_cell_length_c 7.7231
_cell_angle_alpha 90.00
_cell_angle_beta 90.00
_cell_angle_gamma 120.00
loop_
_atom_site_label
_atom_site_type_symbol
_atom_site_fract_x
_atom_site_fract_y
_atom_site_fract_z
Ba1 Ba 0.0000 0.0000 0.0000
Ba2 Ba 0.3333 0.6667 0.6495
Sc1 Sc 0.3333 0.6667 0.2064
Bi1 Bi 0.0000 0.0000 0.5000
O1 O 0.1646 0.3292 0.3188
O2 O 0.3333 0.6667 0.9609
```

---

# 4
Structure and simulated powder XRD pattern of Ba4ScTi4BiO15 (a crystal structure in Alexandria, relaxed with GGA-PBE; λ = 1.5418 Å (Cu Kα)).
Lines closer than 0.1° are merged.

Peak list (10 most intense, 10° ≤ 2θ ≤ 80°, by intensity)
(1 5 1), 31.30°, I 100; (0 0 2), 44.85°, I 50; (1 5 0), 21.99°, I 36; (2 0 2), 55.56°, I 30; (1 15 1), 55.85°, I 29; (2 0 0), 31.16°, I 25; (0 10 0), 31.43°, I 25; (2 0 1), 38.46°, I 20; (2 10 2), 65.29°, I 20; (0 10 1), 38.69°, I 20

Structural model:
```
data_Ba4ScTi4BiO15
_space_group_name_H-M_alt 'C m m m'
_space_group_IT_number 65
_space_group_name_Hall '-C 2 2'
_cell_length_a 5.741
_cell_length_b 28.461
_cell_length_c 4.042
_cell_angle_alpha 90.00
_cell_angle_beta 90.00
_cell_angle_gamma 90.00
loop_
_atom_site_label
_atom_site_type_symbol
_atom_site_fract_x
_atom_site_fract_y
_atom_site_fract_z
Ba1 Ba 0.000 0.100 0.000
Ba2 Ba 0.000 0.300 0.000
Sc1 Sc 0.000 0.000 0.500
Ti1 Ti 0.000 0.200 0.500
Ti2 Ti 0.000 0.401 0.500
Bi1 Bi 0.000 0.500 0.000
O1 O 0.000 0.000 0.000
O2 O 0.000 0.200 0.000
O3 O 0.000 0.402 0.000
O4 O 0.230 0.450 0.500
O5 O 0.248 0.150 0.500
O6 O 0.250 0.250 0.500
```

---

# 5
Structure and simulated powder XRD pattern of BaSrSmBiO6 (a crystal structure in Alexandria, relaxed with GGA-PBE; λ = 1.5418 Å (Cu Kα)).
Lines closer than 0.1° are merged.

Peak list (10 most intense, 10° ≤ 2θ ≤ 80°, by intensity)
(2 2 0), 28.82°, I 100; (4 2 2), 51.06°, I 42; (4 0 0), 41.21°, I 29; (4 4 0), 59.69°, I 19; (6 2 0), 67.62°, I 19; (2 0 0), 20.27°, I 12; (4 4 4), 75.11°, I 6; (4 2 0), 46.34°, I 5; (1 1 1), 17.53°, I 4; (6 0 0), 63.72°, I 3

Structural model:
```
data_BaSrSmBiO6
_space_group_name_H-M_alt 'F -4 3 m'
_space_group_IT_number 216
_space_group_name_Hall 'F -4 2 3'
_cell_length_a 8.763
_cell_length_b 8.763
_cell_length_c 8.763
_cell_angle_alpha 90.00
_cell_angle_beta 90.00
_cell_angle_gamma 90.00
loop_
_atom_site_label
_atom_site_type_symbol
_atom_site_fract_x
_atom_site_fract_y
_atom_site_fract_z
Ba1 Ba 0.000 0.000 0.000
Sr1 Sr 0.000 0.000 0.500
Sm1 Sm 0.250 0.250 0.750
Bi1 Bi 0.250 0.250 0.250
O1 O 0.008 0.250 0.250
```

---

# 6
Structure and simulated powder XRD pattern of Ba2TbBi2O6 (a crystal structure in Alexandria, relaxed with GGA-PBE; λ = 1.5418 Å (Cu Kα)).
Lines closer than 0.1° are merged.

Peak list (10 most intense, 10° ≤ 2θ ≤ 80°, by intensity)
(3 1 -1), 27.79°, I 100; (1 1 -2), 28.92°, I 100; (0 2 0), 27.32°, I 56; (2 2 1), 39.85°, I 43; (1 3 -2), 49.28°, I 38; (2 0 1), 28.44°, I 32; (4 2 -3), 50.16°, I 25; (3 3 -1), 48.58°, I 22; (4 0 -3), 41.22°, I 16; (1 1 3), 51.36°, I 12

Structural model:
```
data_Ba2TbBi2O6
_space_group_name_H-M_alt 'C 1 2/m 1'
_space_group_IT_number 12
_cell_length_a 11.068
_cell_length_b 6.528
_cell_length_c 7.136
_cell_angle_alpha 90.00
_cell_angle_beta 119.37
_cell_angle_gamma 90.00
loop_
_space_group_symop_operation_xyz
'x,y,z'
'-x,-y,-z'
'-x,y,-z'
'x,-y,z'
'x+1/2,y+1/2,z'
'-x+1/2,-y+1/2,-z'
'-x+1/2,y+1/2,-z'
'x+1/2,-y+1/2,z'
loop_
_atom_site_label
_atom_site_type_symbol
_atom_site_fract_x
_atom_site_fract_y
_atom_site_fract_z
Ba1 Ba 0.208 0.000 0.136
Tb1 Tb 0.000 0.000 0.500
Bi1 Bi 0.065 0.500 0.265
O1 O 0.079 0.244 0.778
O2 O 0.206 0.000 0.502
```

---

# 7
Structure and simulated powder XRD pattern of BaTi2Bi2O7 (a crystal structure in Alexandria, relaxed with GGA-PBE; λ = 1.5418 Å (Cu Kα)).
Lines closer than 0.1° are merged.

Peak list (10 most intense, 10° ≤ 2θ ≤ 80°, by intensity)
(1 2 1), 28.75°, I 100; (0 3 1), 20.88°, I 61; (1 5 0), 31.66°, I 36; (0 7 1), 35.65°, I 36; (1 5 2), 45.75°, I 29; (0 4 0), 17.95°, I 29; (0 0 2), 32.14°, I 28; (1 2 3), 55.23°, I 18; (2 7 1), 58.57°, I 17; (0 7 3), 59.57°, I 15

Structural model:
```
data_BaTi2Bi2O7
_space_group_name_H-M_alt 'I m m 2'
_space_group_IT_number 44
_cell_length_a 4.041
_cell_length_b 19.766
_cell_length_c 5.570
_cell_angle_alpha 90.00
_cell_angle_beta 90.00
_cell_angle_gamma 90.00
loop_
_space_group_symop_operation_xyz
'x,y,z'
'-x,-y,z'
'-x,y,z'
'x,-y,z'
'x+1/2,y+1/2,z+1/2'
'-x+1/2,-y+1/2,z+1/2'
'-x+1/2,y+1/2,z+1/2'
'x+1/2,-y+1/2,z+1/2'
loop_
_atom_site_label
_atom_site_type_symbol
_atom_site_fract_x
_atom_site_fract_y
_atom_site_fract_z
Ba1 Ba 0.000 0.000 0.000
Ti1 Ti 0.000 0.414 0.001
Bi1 Bi 0.000 0.218 0.484
O1 O 0.000 0.102 0.450
O2 O 0.000 0.322 0.872
O3 O 0.000 0.422 0.311
O4 O 0.000 0.500 0.848
```

---

# 8
Structure and simulated powder XRD pattern of Ba2TlBi2O7 (a crystal structure in Alexandria, relaxed with GGA-PBE; λ = 1.5418 Å (Cu Kα)).
Lines closer than 0.1° are merged.

Peak list (10 most intense, 10° ≤ 2θ ≤ 80°, by intensity)
(1 0 3), 28.21°, I 100; (1 1 0), 32.31°, I 43; (2 1 3), 55.15°, I 32; (2 0 0), 46.35°, I 21; (1 0 0), 22.70°, I 19; (1 1 6), 47.19°, I 18; (1 1 5), 43.10°, I 17; (1 0 8), 51.07°, I 17; (0 0 3), 16.54°, I 17; (1 0 2), 25.29°, I 15

Structural model:
```
data_Ba2TlBi2O7
_space_group_name_H-M_alt 'P 4/m m m'
_space_group_IT_number 123
_space_group_name_Hall '-P 4 2'
_cell_length_a 3.918
_cell_length_b 3.918
_cell_length_c 16.080
_cell_angle_alpha 90.00
_cell_angle_beta 90.00
_cell_angle_gamma 90.00
loop_
_atom_site_label
_atom_site_type_symbol
_atom_site_fract_x
_atom_site_fract_y
_atom_site_fract_z
Ba1 Ba 0.000 0.000 0.174
Tl1 Tl 0.500 0.500 0.000
Bi1 Bi 0.500 0.500 0.361
O1 O 0.000 0.000 0.000
O2 O 0.000 0.500 0.300
O3 O 0.500 0.500 0.126
```